# 1
This entry pairs a crystal structure of Na4B7C with its simulated XRD peak list. Radiation: CuKα. Structure: DFT lattice parameters and positions (PBE).

Structure:
```
data_Na4B7C
_cell_length_a 10.310
_cell_length_b 2.761
_cell_length_c 10.310
_cell_angle_alpha 90.00
_cell_angle_beta 116.04
_cell_angle_gamma 90.00
_symmetry_space_group_name_H-M 'P 1 21/m 1'
_symmetry_Int_Tables_number 11
_symmetry_space_group_name_Hall '-P 2yb'
loop_
_atom_site_label
_atom_site_fract_x
_atom_site_fract_y
_atom_site_fract_z
Na1 0.124 0.250 0.122
Na2 0.125 0.750 0.626
Na3 0.374 0.250 0.875
Na4 0.374 0.750 0.374
B1 0.063 0.750 0.312
B2 0.155 0.750 0.906
B3 0.165 0.250 0.415
B4 0.314 0.750 0.065
B5 0.321 0.250 0.572
B6 0.418 0.250 0.168
B7 0.424 0.750 0.675
C1 0.079 0.250 0.831
```

Principal peaks in the range 15° ≤ 2θ ≤ 90°, low angle first:
2θ = 32.80°, 2.730 Å, I = 16, hkl 2 0 2; 2θ = 36.47°, 2.464 Å, I = 16, hkl 1 1 1; 2θ = 38.89°, 2.316 Å, I = 52, hkl 0 0 4; 2θ = 41.29°, 2.186 Å, I = 39, hkl 4 0 -4; 2θ = 42.10°, 2.146 Å, I = 100, hkl 3 1 -1; 2θ = 53.71°, 1.707 Å, I = 8, hkl 6 0 -2; 2θ = 56.25°, 1.635 Å, I = 10, hkl 3 1 -5; 2θ = 60.97°, 1.520 Å, I = 19, hkl 3 1 3; 2θ = 72.54°, 1.303 Å, I = 9, hkl 6 0 2; 2θ = 75.84°, 1.254 Å, I = 14, hkl 7 1 -5; 2θ = 76.31°, 1.248 Å, I = 18, hkl 7 1 -1; 2θ = 81.11°, 1.186 Å, I = 9, hkl 4 2 0

---

# 2
This entry pairs a crystal structure of Na10B13C7 with its simulated XRD peak list. Radiation: CuKα. Structure: DFT lattice parameters and positions (PBE).

Structure:
```
data_Na10B13C7
_cell_length_a 4.956
_cell_length_b 7.665
_cell_length_c 9.014
_cell_angle_alpha 72.27
_cell_angle_beta 89.97
_cell_angle_gamma 71.14
_symmetry_space_group_name_H-M 'P 1'
_symmetry_Int_Tables_number 1
_symmetry_space_group_name_Hall 'P 1'
loop_
_atom_site_label
_atom_site_fract_x
_atom_site_fract_y
_atom_site_fract_z
Na1 0.000 0.000 0.000
Na2 0.098 0.803 0.493
Na3 0.199 0.601 0.997
Na4 0.299 0.402 0.494
Na5 0.399 0.200 0.000
Na6 0.497 0.004 0.494
Na7 0.598 0.803 0.997
Na8 0.699 0.602 0.495
Na9 0.799 0.400 0.998
Na10 0.898 0.204 0.492
B1 0.030 0.300 0.745
B2 0.079 0.513 0.746
B3 0.132 0.102 0.247
B4 0.263 0.087 0.746
B5 0.314 0.702 0.246
B6 0.486 0.702 0.746
B7 0.506 0.314 0.245
B8 0.628 0.104 0.746
B9 0.648 0.317 0.745
B10 0.718 0.890 0.247
B11 0.781 0.101 0.247
B12 0.890 0.891 0.747
B13 0.914 0.502 0.245
C1 0.180 0.305 0.245
C2 0.226 0.892 0.747
C3 0.383 0.898 0.248
C4 0.416 0.512 0.745
C5 0.574 0.508 0.244
C6 0.821 0.701 0.747
C7 0.980 0.696 0.246
```

Principal peaks in the range 15° ≤ 2θ ≤ 90°, low angle first:
2θ = 35.87°, 2.504 Å, I = 20, hkl 1 3 1; 2θ = 36.25°, 2.478 Å, I = 8, hkl 2 1 0; 2θ = 41.83°, 2.160 Å, I = 100, hkl 1 3 -1; 2θ = 42.17°, 2.143 Å, I = 53, hkl 2 1 2; 2θ = 42.36°, 2.134 Å, I = 39, hkl 0 0 4; 2θ = 56.68°, 1.624 Å, I = 11, hkl 1 3 5; 2θ = 64.21°, 1.451 Å, I = 9, hkl 0 5 2; 2θ = 64.96°, 1.436 Å, I = 17, hkl 3 4 1; 2θ = 77.12°, 1.237 Å, I = 12, hkl -1 2 7; 2θ = 79.85°, 1.201 Å, I = 12, hkl 2 6 4; 2θ = 79.98°, 1.200 Å, I = 9, hkl 0 5 6; 2θ = 80.67°, 1.191 Å, I = 17, hkl 3 4 5

---

# 3
This entry pairs a crystal structure of Na5B9C with its simulated XRD peak list. Radiation: CuKα. Structure: DFT lattice parameters and positions (PBE).

Structure:
```
data_Na5B9C
_cell_length_a 15.045
_cell_length_b 5.116
_cell_length_c 9.173
_cell_angle_alpha 90.00
_cell_angle_beta 109.12
_cell_angle_gamma 90.00
_symmetry_space_group_name_H-M 'C 1 2 1'
_symmetry_Int_Tables_number 5
_symmetry_space_group_name_Hall 'C 2y'
loop_
_atom_site_label
_atom_site_fract_x
_atom_site_fract_y
_atom_site_fract_z
Na1 0.050 0.000 0.250
Na2 0.050 0.500 0.751
Na3 0.150 0.004 0.750
Na4 0.150 0.502 0.248
Na5 0.250 0.004 0.248
B1 0.000 0.177 0.500
B2 0.000 0.318 0.000
B3 0.000 0.661 0.000
B4 0.000 0.824 0.500
B5 0.097 0.827 0.001
B6 0.101 0.333 0.500
B7 0.103 0.169 0.001
B8 0.109 0.684 0.500
B9 0.198 0.340 0.001
B10 0.202 0.683 0.000
B11 0.206 0.161 0.500
C1 0.202 0.839 0.500
```

Principal peaks in the range 15° ≤ 2θ ≤ 90°, low angle first:
2θ = 34.58°, 2.594 Å, I = 21, hkl 5 1 -1; 2θ = 35.08°, 2.558 Å, I = 9, hkl 0 2 0; 2θ = 40.54°, 2.225 Å, I = 100, hkl 5 1 1; 2θ = 40.97°, 2.203 Å, I = 51, hkl 0 2 2; 2θ = 41.69°, 2.167 Å, I = 36, hkl 0 0 4; 2θ = 55.24°, 1.663 Å, I = 11, hkl 5 1 3; 2θ = 61.65°, 1.504 Å, I = 9, hkl 10 0 -2; 2θ = 62.61°, 1.484 Å, I = 17, hkl 5 3 -1; 2θ = 75.31°, 1.262 Å, I = 12, hkl 5 1 5; 2θ = 76.71°, 1.242 Å, I = 12, hkl 10 2 0; 2θ = 77.19°, 1.236 Å, I = 9, hkl 10 0 2; 2θ = 78.06°, 1.224 Å, I = 17, hkl 5 3 3

---

# 4
This entry pairs a crystal structure of Na10B13C7 with its simulated XRD peak list. Radiation: CuKα. Structure: DFT lattice parameters and positions (PBE).

Structure:
```
data_Na10B13C7
_cell_length_a 8.537
_cell_length_b 14.424
_cell_length_c 4.953
_cell_angle_alpha 90.00
_cell_angle_beta 90.00
_cell_angle_gamma 90.00
_symmetry_space_group_name_H-M 'A m m 2'
_symmetry_Int_Tables_number 38
_symmetry_space_group_name_Hall 'A 2 -2'
loop_
_atom_site_label
_atom_site_fract_x
_atom_site_fract_y
_atom_site_fract_z
Na1 0.246 0.200 0.000
Na2 0.247 0.000 0.996
Na3 0.247 0.100 0.498
B1 0.000 0.000 0.333
B2 0.000 0.100 0.833
B3 0.000 0.200 0.333
B4 0.500 0.000 0.314
B5 0.500 0.000 0.664
B6 0.500 0.100 0.830
B7 0.500 0.109 0.178
B8 0.500 0.206 0.662
C1 0.000 0.000 0.666
C2 0.000 0.100 0.166
C3 0.000 0.200 0.666
C4 0.500 0.202 0.339
```

Principal peaks in the range 15° ≤ 2θ ≤ 90°, low angle first:
2θ = 36.03°, 2.493 Å, I = 18, hkl 0 5 1; 2θ = 36.28°, 2.476 Å, I = 9, hkl 0 0 2; 2θ = 41.97°, 2.153 Å, I = 100, hkl 2 5 1; 2θ = 42.19°, 2.142 Å, I = 50, hkl 2 0 2; 2θ = 42.35°, 2.134 Å, I = 38, hkl 4 0 0; 2θ = 56.78°, 1.621 Å, I = 10, hkl 4 5 1; 2θ = 64.62°, 1.442 Å, I = 9, hkl 0 10 0; 2θ = 65.10°, 1.433 Å, I = 17, hkl 0 5 3; 2θ = 77.19°, 1.236 Å, I = 12, hkl 6 5 1; 2θ = 80.23°, 1.196 Å, I = 11, hkl 2 10 2; 2θ = 80.34°, 1.195 Å, I = 9, hkl 4 10 0; 2θ = 80.79°, 1.190 Å, I = 22, hkl 4 5 3

---

# 5
This entry pairs a crystal structure of Na5B8C2 with its simulated XRD peak list. Radiation: CuKα. Structure: DFT lattice parameters and positions (PBE).

Structure:
```
data_Na5B8C2
_cell_length_a 2.9391
_cell_length_b 2.9391
_cell_length_c 42.9375
_cell_angle_alpha 90.00
_cell_angle_beta 90.00
_cell_angle_gamma 120.00
_symmetry_space_group_name_H-M 'P 3 m 1'
_symmetry_Int_Tables_number 156
_symmetry_space_group_name_Hall 'P 3 -2"'
loop_
_atom_site_label
_atom_site_fract_x
_atom_site_fract_y
_atom_site_fract_z
Na1 0.0000 0.0000 0.0000
Na2 0.0000 0.0000 0.0982
Na3 0.0000 0.0000 0.1960
Na4 0.0000 0.0000 0.2941
Na5 0.0000 0.0000 0.3953
Na6 0.0000 0.0000 0.4967
Na7 0.0000 0.0000 0.5980
Na8 0.0000 0.0000 0.6988
Na9 0.0000 0.0000 0.7971
Na10 0.0000 0.0000 0.8985
B1 0.3333 0.6667 0.0493
B2 0.3333 0.6667 0.2449
B3 0.3333 0.6667 0.3447
B4 0.3333 0.6667 0.4461
B5 0.3333 0.6667 0.5472
B6 0.3333 0.6667 0.6484
B7 0.3333 0.6667 0.8476
B8 0.3333 0.6667 0.9493
B9 0.6667 0.3333 0.1471
B10 0.6667 0.3333 0.3447
B11 0.6667 0.3333 0.4461
B12 0.6667 0.3333 0.5472
B13 0.6667 0.3333 0.6484
B14 0.6667 0.3333 0.7479
B15 0.6667 0.3333 0.8476
B16 0.6667 0.3333 0.9493
C1 0.3333 0.6667 0.1471
C2 0.3333 0.6667 0.7479
C3 0.6667 0.3333 0.0493
C4 0.6667 0.3333 0.2449
```

Principal peaks in the range 15° ≤ 2θ ≤ 90°, low angle first:
2θ = 20.69°, 4.294 Å, I = 1, hkl 0 0 10; 2θ = 35.26°, 2.545 Å, I = 19, hkl 1 0 0; 2θ = 41.23°, 2.190 Å, I = 100, hkl 1 0 10; 2θ = 42.09°, 2.147 Å, I = 23, hkl 0 0 20; 2θ = 56.04°, 1.641 Å, I = 10, hkl 0 1 20; 2θ = 63.28°, 1.470 Å, I = 18, hkl 1 1 0; 2θ = 67.35°, 1.390 Å, I = 2, hkl 1 1 10; 2θ = 74.57°, 1.273 Å, I = 2, hkl 2 0 0; 2θ = 76.33°, 1.248 Å, I = 11, hkl 1 0 30; 2θ = 78.37°, 1.220 Å, I = 11, hkl 2 0 10; 2θ = 78.95°, 1.213 Å, I = 17, hkl 1 1 20; 2θ = 89.53°, 1.095 Å, I = 2, hkl 2 0 20

---

# 6
This entry pairs a crystal structure of Na10B17C3 with its simulated XRD peak list. Radiation: CuKα. Structure: DFT lattice parameters and positions (PBE).

Structure:
```
data_Na10B17C3
_cell_length_a 18.180
_cell_length_b 2.823
_cell_length_c 13.792
_cell_angle_alpha 90.00
_cell_angle_beta 112.14
_cell_angle_gamma 90.00
_symmetry_space_group_name_H-M 'C 1 m 1'
_symmetry_Int_Tables_number 8
_symmetry_space_group_name_Hall 'C -2y'
loop_
_atom_site_label
_atom_site_fract_x
_atom_site_fract_y
_atom_site_fract_z
Na1 0.000 0.000 0.000
Na2 0.000 0.000 0.498
Na3 0.099 0.500 0.197
Na4 0.099 0.500 0.698
Na5 0.198 0.000 0.397
Na6 0.200 0.000 0.899
Na7 0.299 0.500 0.100
Na8 0.300 0.500 0.599
Na9 0.400 0.000 0.298
Na10 0.401 0.000 0.800
B1 0.037 0.000 0.825
B2 0.058 0.500 0.365
B3 0.125 0.500 0.000
B4 0.125 0.500 0.499
B5 0.164 0.000 0.079
B6 0.166 0.000 0.581
B7 0.227 0.000 0.204
B8 0.229 0.000 0.709
B9 0.268 0.500 0.285
B10 0.272 0.500 0.795
B11 0.331 0.500 0.410
B12 0.336 0.500 0.921
B13 0.371 0.000 0.490
B14 0.377 0.000 0.004
B15 0.434 0.000 0.617
B16 0.467 0.500 0.183
B17 0.472 0.500 0.694
C1 0.028 0.000 0.304
C2 0.066 0.500 0.884
C3 0.436 0.000 0.121
```

Principal peaks in the range 15° ≤ 2θ ≤ 90°, low angle first:
2θ = 33.55°, 2.671 Å, I = 14, hkl 2 0 4; 2θ = 35.98°, 2.496 Å, I = 17, hkl 1 1 2; 2θ = 39.60°, 2.276 Å, I = 49, hkl 6 0 2; 2θ = 41.54°, 2.174 Å, I = 37, hkl 8 0 -4; 2θ = 41.72°, 2.165 Å, I = 100, hkl 5 1 0; 2θ = 61.57°, 1.506 Å, I = 18, hkl 3 1 6; 2θ = 66.20°, 1.412 Å, I = 8, hkl 0 2 0; 2θ = 75.87°, 1.254 Å, I = 7, hkl 11 1 -8; 2θ = 76.94°, 1.239 Å, I = 8, hkl 5 1 -10; 2θ = 77.12°, 1.237 Å, I = 8, hkl 11 1 2; 2θ = 79.97°, 1.200 Å, I = 9, hkl 6 2 2; 2θ = 81.25°, 1.184 Å, I = 8, hkl 8 2 -4